No. 1
Diffraction record for Sm5Tl2O2. The powder diffraction line list is theoretical, not measured: it uses a structure optimized by DFT (GGA-PBE) and λ = 1.5418 Å (Cu Kα).
Peak positions follow from Bragg's law for the DFT cell and can differ from measured ones.

The 10 most intense peaks (15 to 90 degrees two-theta), low angle first:
two_theta, I_rel, hkl
26.6, 14, 0 5 1
31.7, 77, 0 4 2
31.9, 100, 2 4 0
36.4, 63, 2 0 2
37.7, 31, 0 8 0
52.2, 16, 0 0 4
52.7, 13, 4 0 0
53.5, 36, 2 8 2
62.5, 12, 2 4 4
62.9, 22, 4 4 2

Atomic structure:
abc: 6.9429 19.0643 7.0066
angles: 90.00 90.00 90.00
Space group Imma (No. 74)
Inequivalent atoms, fractional coordinates:
1 Sm 0.0000 0.1372 0.0685 x8
2 Sm 0.2500 0.0108 0.7500 x8
3 Sm 0.2500 0.2500 0.7500 x4
4 Tl 0.0000 0.1264 0.5191 x8
5 O 0.0000 0.0000 0.0000 x4
6 O 0.0000 0.2500 0.9728 x4

=====

No. 2
Diffraction record for HoCo4Sn4. The powder diffraction line list is theoretical, not measured: it uses a structure optimized by DFT (GGA-PBE) and λ = 1.5418 Å (Cu Kα).
Peak positions follow from Bragg's law for the DFT cell and can differ from measured ones.

The 10 most intense peaks (15 to 90 degrees two-theta), low angle first:
two_theta, I_rel, hkl
20.3, 27, 1 0 1
29.7, 52, 2 1 1
34.2, 100, 1 3 0
36.5, 47, 1 0 2
43.0, 23, 2 3 1
48.2, 41, 3 0 2
49.1, 19, 4 2 0
49.6, 14, 1 3 2
58.1, 16, 1 4 2
67.1, 18, 4 3 2

Atomic structure:
abc: 8.2993 8.2993 5.1571
angles: 90.00 90.00 90.00
Space group P4_2/n (No. 86, origin choice 2)
Inequivalent atoms, fractional coordinates:
1 Ho 0.2500 0.2500 0.2500 x2
2 Co 0.0562 0.5976 0.6435 x8
3 Sn 0.0953 0.6336 0.1446 x8

=====

No. 3
Diffraction record for FeAg5Br8. The powder diffraction line list is theoretical, not measured: it uses a structure optimized by DFT (GGA-PBE) and λ = 1.5418 Å (Cu Kα).
Peak positions follow from Bragg's law for the DFT cell and can differ from measured ones.

The 10 most intense peaks (15 to 90 degrees two-theta), low angle first:
two_theta, I_rel, hkl
19.8, 14, 1 1 2
24.7, 100, 2 0 2
32.1, 22, 3 0 1
37.5, 18, 3 0 3
40.2, 47, 2 2 4
41.2, 16, 2 1 5
42.3, 18, 4 0 0
43.2, 14, 3 2 3
45.9, 11, 2 0 6
49.6, 19, 4 2 2

Atomic structure:
abc: 8.5416 8.5416 13.3745
angles: 90.00 90.00 90.00
Space group I-4m2 (No. 119)
Inequivalent atoms, fractional coordinates:
1 Fe 0.0000 0.0000 0.0000 x2
2 Ag 0.0000 0.5000 0.7500 x2
3 Ag 0.1998 0.1998 0.5000 x8
4 Br 0.0000 0.2289 0.6465 x8
5 Br 0.0000 0.2328 0.0978 x8

=====

No. 4
Diffraction record for Ac3Si2Ni9. The powder diffraction line list is theoretical, not measured: it uses a structure optimized by DFT (GGA-PBE) and λ = 1.5418 Å (Cu Kα).
Peak positions follow from Bragg's law for the DFT cell and can differ from measured ones.

The 10 most intense peaks (15 to 90 degrees two-theta), low angle first:
two_theta, I_rel, hkl
23.8, 70, 0 1 3
24.1, 60, 1 1 0
31.7, 83, 1 0 3
34.8, 54, 0 3 3
35.0, 100, 1 3 0
35.6, 56, 0 4 0
36.5, 79, 1 2 3
43.9, 30, 1 0 5
45.8, 44, 2 0 0
48.4, 37, 1 4 3

Atomic structure:
abc: 3.9651 10.0757 12.0794
angles: 90.00 90.00 90.00
Space group Immm (No. 71)
Inequivalent atoms, fractional coordinates:
1 Ac 0.0000 0.0000 0.0000 x2
2 Ac 0.0000 0.0000 0.3081 x4
3 Si 0.0000 0.2365 0.5000 x4
4 Ni 0.0000 0.2847 0.1025 x8
5 Ni 0.0000 0.2996 0.3076 x8
6 Ni 0.0000 0.5000 0.0000 x2

=====

No. 5
Diffraction record for PIr3. The powder diffraction line list is theoretical, not measured: it uses a structure optimized by DFT (GGA-PBE) and λ = 1.5418 Å (Cu Kα).
Peak positions follow from Bragg's law for the DFT cell and can differ from measured ones.

The 10 most intense peaks (15 to 90 degrees two-theta), low angle first:
two_theta, I_rel, hkl
29.7, 47, 1 0 1
33.8, 39, 1 1 1
35.3, 64, 0 2 1
39.4, 73, 1 0 2
43.9, 31, 0 2 2
44.2, 100, 1 2 1
44.6, 28, 0 0 3
52.9, 29, 2 0 0
76.3, 31, 1 2 4
80.5, 26, 1 4 2

Atomic structure:
abc: 3.4625 5.5913 6.0958
angles: 90.00 90.00 90.00
Space group Pmmn (No. 59, origin choice 2)
Inequivalent atoms, fractional coordinates:
1 P 0.2500 0.2500 0.2261 x2
2 Ir 0.2500 0.0106 0.6739 x4
3 Ir 0.2500 0.7500 0.0549 x2

=====

No. 6
Diffraction record for La2Pa3S8. The powder diffraction line list is theoretical, not measured: it uses a structure optimized by DFT (GGA-PBE) and λ = 1.5418 Å (Cu Kα).
Peak positions follow from Bragg's law for the DFT cell and can differ from measured ones.

The 10 most intense peaks (15 to 90 degrees two-theta), low angle first:
two_theta, I_rel, hkl
21.8, 17, 1 1 1
22.7, 63, 0 2 1
26.0, 20, 0 4 0
26.5, 40, 2 0 1
28.6, 17, 1 3 1
29.6, 18, 2 2 1
37.4, 100, 2 4 1
37.7, 26, 0 0 2
37.9, 24, 4 0 0
44.6, 20, 2 2 2

Atomic structure:
abc: 9.5053 13.7047 4.7707
angles: 90.00 90.00 90.00
Space group Cmmm (No. 65)
Inequivalent atoms, fractional coordinates:
1 La 0.0000 0.2333 0.0000 x4
2 Pa 0.0000 0.5000 0.0000 x2
3 Pa 0.2339 0.0000 0.5000 x4
4 S 0.0000 0.1182 0.5000 x4
5 S 0.0000 0.3882 0.5000 x4
6 S 0.2390 0.3835 0.0000 x8

=====

No. 7
Diffraction record for ZrAl2BF. The powder diffraction line list is theoretical, not measured: it uses a structure optimized by DFT (GGA-PBE) and λ = 1.5418 Å (Cu Kα).
Peak positions follow from Bragg's law for the DFT cell and can differ from measured ones.

The 10 most intense peaks (15 to 90 degrees two-theta), low angle first:
two_theta, I_rel, hkl
22.3, 38, 1 0 0
29.8, 100, 1 0 1
31.7, 18, 1 1 0
37.5, 88, 1 1 1
39.7, 31, 0 0 2
45.4, 41, 2 0 0
55.2, 33, 2 1 1
61.9, 31, 2 0 2
78.6, 20, 3 1 1
80.0, 14, 2 2 2

Atomic structure:
abc: 3.9949 3.9949 4.5430
angles: 90.00 90.00 90.00
Space group P4/mmm (No. 123)
Inequivalent atoms, fractional coordinates:
1 Zr 0.0000 0.0000 0.0000 x1
2 Al 0.0000 0.5000 0.5000 x2
3 B 0.5000 0.5000 0.0000 x1
4 F 0.5000 0.5000 0.5000 x1

=====

No. 8
Diffraction record for Na2U2SiO8F2. The powder diffraction line list is theoretical, not measured: it uses a structure optimized by DFT (GGA-PBE) and λ = 1.5418 Å (Cu Kα).
Peak positions follow from Bragg's law for the DFT cell and can differ from measured ones.

The 10 most intense peaks (15 to 90 degrees two-theta), low angle first:
two_theta, I_rel, hkl
19.1, 100, 1 0 3
20.3, 59, 1 1 2
25.4, 92, 2 0 0
27.1, 40, 1 0 5
28.8, 30, 2 1 1
31.9, 50, 2 1 3
34.1, 60, 1 1 6
41.8, 27, 3 1 2
45.7, 30, 1 0 9
50.6, 47, 3 1 6

Atomic structure:
abc: 7.0194 7.0194 18.6214
angles: 90.00 90.00 90.00
Space group I4_1/amd (No. 141, origin choice 2)
Inequivalent atoms, fractional coordinates:
1 Na 0.0000 0.0000 0.0000 x8
2 U 0.0000 0.2500 0.2019 x8
3 Si 0.0000 0.2500 0.3750 x4
4 O 0.0000 0.0126 0.7965 x16
5 O 0.0000 0.0729 0.4325 x16
6 F 0.0000 0.2500 0.0833 x8

=====

No. 9
Diffraction record for Ge2SbTe6. The powder diffraction line list is theoretical, not measured: it uses a structure optimized by DFT (GGA-PBE) and λ = 1.5418 Å (Cu Kα).
Peak positions follow from Bragg's law for the DFT cell and can differ from measured ones.

The 10 most intense peaks (15 to 90 degrees two-theta), low angle first:
two_theta, I_rel, hkl
20.8, 38, 3 1 0
26.1, 100, 1 3 1
26.2, 47, 4 0 0
26.6, 36, 2 0 -2
30.2, 44, 2 0 2
30.5, 78, 3 3 -1
43.2, 84, 5 3 1
43.7, 44, 1 3 -3
44.1, 25, 6 0 -2
51.2, 19, 4 6 0

Atomic structure:
abc: 13.7617 12.5787 7.1428
angles: 90.00 98.73 90.00
Space group C2/c (No. 15)
Inequivalent atoms, fractional coordinates:
1 Ge 0.1930 0.0785 0.3241 x8
2 Sb 0.0000 0.3895 0.2500 x4
3 Te 0.1119 0.3993 0.6581 x8
4 Te 0.1294 0.2326 0.0849 x8
5 Te 0.1301 0.1040 0.6561 x8

=====

No. 10
Diffraction record for Na4Mg3H10. The powder diffraction line list is theoretical, not measured: it uses a structure optimized by DFT (GGA-PBE) and λ = 1.5418 Å (Cu Kα).
Peak positions follow from Bragg's law for the DFT cell and can differ from measured ones.

The 10 most intense peaks (15 to 90 degrees two-theta), low angle first:
two_theta, I_rel, hkl
32.9, 100, 1 0 7
33.2, 53, 1 1 0
46.7, 10, 0 0 14
47.7, 21, 2 0 0
58.5, 16, 1 1 14
59.1, 34, 2 1 7
68.9, 10, 2 0 14
69.7, 6, 2 2 0
79.3, 7, 3 0 7
79.5, 7, 3 1 0

Atomic structure:
abc: 3.8143 3.8143 27.2514
angles: 90.00 90.00 90.00
Space group I4/mmm (No. 139)
Inequivalent atoms, fractional coordinates:
1 Na 0.0000 0.0000 0.0700 x4
2 Na 0.0000 0.0000 0.2053 x4
3 Mg 0.0000 0.0000 0.3583 x4
4 Mg 0.0000 0.0000 0.5000 x2
5 H 0.0000 0.0000 0.2866 x4
6 H 0.0000 0.0000 0.4294 x4
7 H 0.0000 0.5000 0.0000 x4
8 H 0.0000 0.5000 0.1405 x8

=====

No. 11
Diffraction record for Ta4Ti2Re. The powder diffraction line list is theoretical, not measured: it uses a structure optimized by DFT (GGA-PBE) and λ = 1.5418 Å (Cu Kα).
Peak positions follow from Bragg's law for the DFT cell and can differ from measured ones.

The 10 most intense peaks (15 to 90 degrees two-theta), low angle first:
two_theta, I_rel, hkl
38.8, 100, 1 0 1
39.3, 66, 0 2 1
39.5, 32, 0 3 -2
56.4, 11, -1 1 3
56.6, 12, 1 3 -1
69.8, 12, 2 -2 1
70.9, 11, 1 -1 4
71.0, 17, 1 2 2
71.2, 11, 0 1 4
71.5, 11, 0 5 -1

Atomic structure:
abc: 2.8630 7.0440 7.0585
angles: 118.04 97.76 97.93
Space group P-1 (No. 2)
Inequivalent atoms, fractional coordinates:
1 Ta 0.0507 0.2804 0.4268 x2
2 Ta 0.3723 0.4227 0.1391 x2
3 Ti 0.2542 0.8616 0.2734 x2
4 Re 0.5000 0.0000 0.0000 x1

=====

No. 12
Diffraction record for LaTh3Hg6. The powder diffraction line list is theoretical, not measured: it uses a structure optimized by DFT (GGA-PBE) and λ = 1.5418 Å (Cu Kα).
Peak positions follow from Bragg's law for the DFT cell and can differ from measured ones.

The 10 most intense peaks (15 to 90 degrees two-theta), low angle first:
two_theta, I_rel, hkl
32.5, 100, 3 1 -1
33.4, 96, 1 1 3
33.5, 46, 2 0 -4
34.7, 45, 0 2 0
45.3, 19, 4 0 2
49.1, 32, 2 2 -4
58.4, 18, 4 2 2
58.7, 24, 2 0 6
60.4, 18, 1 1 -7
61.4, 17, 1 3 3

Atomic structure:
abc: 9.7971 5.1649 11.2745
angles: 90.00 104.48 90.00
Space group P2_1/m (No. 11)
Inequivalent atoms, fractional coordinates:
1 La 0.0603 0.2500 0.3806 x2
2 Th 0.2318 0.2500 0.9980 x2
3 Th 0.3562 0.7500 0.7959 x2
4 Th 0.4825 0.2500 0.6085 x2
5 Hg 0.0531 0.7500 0.9073 x2
6 Hg 0.1489 0.7500 0.2026 x2
7 Hg 0.1610 0.2500 0.6895 x2
8 Hg 0.2433 0.7500 0.5087 x2
9 Hg 0.3422 0.2500 0.2903 x2
10 Hg 0.4483 0.7500 0.0898 x2